Entry 1:
Simulated powder diffraction line list of BeHg4 for copper Kα, from a GGA-PBE-relaxed structure.
Kinematic intensities with the Lorentz-polarization factor, no thermal factor.

Principal peaks in the range 10 to 90 degrees two-theta, by angle:
two_theta	Rel. int.
31.29	100.0
36.29	52.6
52.26	37.6
62.19	43.7
85.49	19.0
88.28	18.5

Structural model:
```
data_BeHg4
_cell_length_a 4.9508
_cell_length_b 4.9508
_cell_length_c 4.9508
_cell_angle_alpha 90.00
_cell_angle_beta 90.00
_cell_angle_gamma 90.00
_symmetry_space_group_name_H-M 'P 1'
_symmetry_Int_Tables_number 1
_symmetry_space_group_name_Hall 'P 1'
loop_
_atom_site_label
_atom_site_type_symbol
_atom_site_fract_x
_atom_site_fract_y
_atom_site_fract_z
Be1 Be 0.0000 0.0000 0.0000
Hg1 Hg 0.0000 0.0000 0.5000
Hg2 Hg 0.0000 0.5000 0.0000
Hg3 Hg 0.5000 0.0000 0.0000
Hg4 Hg 0.5000 0.5000 0.5000
```


Entry 2:
Simulated powder diffraction line list of Na9Sn4 for copper Kα, from a GGA-PBE-relaxed structure.
Kinematic intensities with the Lorentz-polarization factor, no thermal factor.

Principal peaks in the range 10 to 90 degrees two-theta, by angle:
two_theta	Rel. int.
19.13	41.2
19.85	81.9
33.02	100.0
33.53	42.2
36.17	39.2
41.45	25.8

Structural model:
```
data_Na9Sn4
_cell_length_a 5.4262
_cell_length_b 5.4262
_cell_length_c 29.2510
_cell_angle_alpha 90.00
_cell_angle_beta 90.00
_cell_angle_gamma 120.03
_symmetry_space_group_name_H-M 'P 1'
_symmetry_Int_Tables_number 1
_symmetry_space_group_name_Hall 'P 1'
loop_
_atom_site_label
_atom_site_type_symbol
_atom_site_fract_x
_atom_site_fract_y
_atom_site_fract_z
Na1 Na 0.9997 0.0003 0.1801
Na2 Na 0.9997 0.0003 0.3199
Na3 Na 0.0003 0.9997 0.6801
Na4 Na 0.0003 0.9997 0.8199
Na5 Na 0.3334 0.6666 0.0923
Na6 Na 0.3334 0.6666 0.4077
Na7 Na 0.3333 0.6667 0.5188
Na8 Na 0.3335 0.6665 0.7500
Na9 Na 0.3333 0.6667 0.9812
Na10 Na 0.3337 0.6663 0.6343
Na11 Na 0.3337 0.6663 0.8657
Na12 Na 0.6663 0.3337 0.1343
Na13 Na 0.6663 0.3337 0.3657
Na14 Na 0.6667 0.3333 0.0188
Na15 Na 0.6665 0.3335 0.2500
Na16 Na 0.6667 0.3333 0.4812
Na17 Na 0.6666 0.3334 0.5923
Na18 Na 0.6666 0.3334 0.9077
Sn1 Sn 0.0001 0.9999 0.0512
Sn2 Sn 0.0001 0.9999 0.4488
Sn3 Sn 0.9999 0.0001 0.5512
Sn4 Sn 0.9999 0.0001 0.9488
Sn5 Sn 0.3330 0.6670 0.2014
Sn6 Sn 0.3330 0.6670 0.2986
Sn7 Sn 0.6670 0.3330 0.7014
Sn8 Sn 0.6670 0.3330 0.7986
```


Entry 3:
Simulated powder diffraction line list of Tb5Pr2Tl4 for copper Kα, from a GGA-PBE-relaxed structure.
Kinematic intensities with the Lorentz-polarization factor, no thermal factor.

Principal peaks in the range 10 to 90 degrees two-theta, by angle:
two_theta	Rel. int.
30.52	75.0
31.33	100.0
34.78	61.1
35.83	39.7
38.12	63.0
61.83	36.0

Structural model:
```
data_Tb5Pr2Tl4
_cell_length_a 12.6090
_cell_length_b 12.6090
_cell_length_c 12.6090
_cell_angle_alpha 163.91
_cell_angle_beta 139.96
_cell_angle_gamma 43.42
_symmetry_space_group_name_H-M 'P 1'
_symmetry_Int_Tables_number 1
_symmetry_space_group_name_Hall 'P 1'
loop_
_atom_site_label
_atom_site_type_symbol
_atom_site_fract_x
_atom_site_fract_y
_atom_site_fract_z
Tb1 Tb 0.0000 0.0000 0.0000
Tb2 Tb 0.1769 0.8770 0.2999
Tb3 Tb 0.4229 0.1230 0.2999
Tb4 Tb 0.5771 0.8770 0.7001
Tb5 Tb 0.8231 0.1230 0.7001
Pr1 Pr 0.2470 0.7470 0.5000
Pr2 Pr 0.7530 0.2530 0.5000
Tl1 Tl 0.1134 0.6134 0.5000
Tl2 Tl 0.3265 0.5000 0.8265
Tl3 Tl 0.6735 0.5000 0.1735
Tl4 Tl 0.8866 0.3866 0.5000
```


Entry 4:
Simulated powder diffraction line list of CeEr4Tm3 for copper Kα, from a GGA-PBE-relaxed structure.
Kinematic intensities with the Lorentz-polarization factor, no thermal factor.

Principal peaks in the range 10 to 90 degrees two-theta, by angle:
two_theta	Rel. int.
31.36	100.0
36.25	34.0
36.60	16.6
52.46	23.8
62.17	28.5
62.64	13.9

Structural model:
```
data_CeEr4Tm3
_cell_length_a 3.4901
_cell_length_b 6.0585
_cell_length_c 11.5805
_cell_angle_alpha 84.69
_cell_angle_beta 81.74
_cell_angle_gamma 89.67
_symmetry_space_group_name_H-M 'P 1'
_symmetry_Int_Tables_number 1
_symmetry_space_group_name_Hall 'P 1'
loop_
_atom_site_label
_atom_site_type_symbol
_atom_site_fract_x
_atom_site_fract_y
_atom_site_fract_z
Ce1 Ce 0.0000 0.0000 0.0000
Er1 Er 0.2493 0.7487 0.5019
Er2 Er 0.3755 0.1226 0.2488
Er3 Er 0.6245 0.8774 0.7512
Er4 Er 0.7507 0.2513 0.4981
Tm1 Tm 0.1241 0.3723 0.7498
Tm2 Tm 0.5000 0.5000 0.0000
Tm3 Tm 0.8759 0.6277 0.2502
```